This entry pairs a crystal structure of DyB4Ru4 with its calculated powder diffractogram. Radiation: Cu Ka. Structure: a PBE-relaxed structure.
Intensities are scaled so that the largest is 1000.

Structure:
a b c (Å): 9.203 9.203 9.203
angles (deg): 131.96 131.96 70.29
Atoms (fractional coordinates):
Dy: 0.125 0.375 0.750
Dy: 0.375 0.125 0.250
Dy: 0.625 0.875 0.750
Dy: 0.875 0.625 0.250
B: 0.066 0.125 0.278
B: 0.125 0.347 0.058
B: 0.153 0.375 0.442
B: 0.211 0.934 0.558
B: 0.289 0.847 0.722
B: 0.347 0.789 0.222
B: 0.375 0.434 0.222
B: 0.434 0.711 0.058
B: 0.566 0.289 0.942
B: 0.625 0.566 0.778
B: 0.653 0.211 0.778
B: 0.711 0.153 0.278
B: 0.789 0.066 0.442
B: 0.847 0.625 0.558
B: 0.875 0.653 0.942
B: 0.934 0.875 0.722
Ru: 0.039 0.821 0.986
Ru: 0.052 0.039 0.717
Ru: 0.165 0.679 0.717
Ru: 0.179 0.665 0.217
Ru: 0.321 0.539 0.486
Ru: 0.335 0.052 0.514
Ru: 0.448 0.165 0.986
Ru: 0.461 0.448 0.783
Ru: 0.539 0.552 0.217
Ru: 0.552 0.835 0.014
Ru: 0.665 0.948 0.486
Ru: 0.679 0.461 0.514
Ru: 0.821 0.335 0.783
Ru: 0.835 0.321 0.283
Ru: 0.948 0.961 0.283
Ru: 0.961 0.179 0.014

The 6 most intense peaks (15 to 90 degrees two-theta), in order of rising 2θ:
- 32.1°, d = 2.786 Å, intensity 591
- 33.8°, d = 2.653 Å, intensity 291
- 39.8°, d = 2.267 Å, intensity 428
- 39.9°, d = 2.260 Å, intensity 1000
- 40.3°, d = 2.239 Å, intensity 360
- 64.6°, d = 1.443 Å, intensity 265